For Sc3CuO, DFT lattice parameters and positions (PBE) gives the computed X-ray diffraction stick pattern in this record (a wavelength of 1.5418 Å).
No peak broadening, texture or thermal motion is included.

Peak list (10 most intense, 2θ from 15° to 90°, in order of falling intensity)
d [Å], two_theta, I_rel
2.503, 35.87, 100
2.141, 42.22, 37
2.225, 40.54, 30
1.543, 59.96, 24
2.313, 38.93, 16
2.708, 33.08, 13
1.332, 70.72, 12
3.027, 29.51, 12
1.759, 51.99, 10
1.295, 73.05, 10

Structure:
a b c (Å): 6.055 6.055 4.451
angles (deg): 90.00 90.00 90.00
Element x y z (fractional)
Sc (0.000, 0.000, 0.000)
Sc (0.196, 0.304, 0.500)
Sc (0.304, 0.804, 0.500)
Sc (0.500, 0.500, 0.000)
Sc (0.696, 0.196, 0.500)
Sc (0.804, 0.696, 0.500)
Cu (0.000, 0.500, 0.000)
Cu (0.500, 0.000, 0.000)
O (0.000, 0.000, 0.500)
O (0.500, 0.500, 0.500)



For SrCaGaPt, DFT lattice parameters and positions (PBE) gives the computed X-ray diffraction stick pattern in this record (a wavelength of 1.5418 Å).
No peak broadening, texture or thermal motion is included.

Peak list (10 most intense, 2θ from 15° to 90°, in order of falling intensity)
d [Å], two_theta, I_rel
2.996, 29.82, 100
5.687, 15.58, 88
2.402, 37.43, 77
2.859, 31.29, 59
4.065, 21.86, 55
2.393, 37.58, 52
1.610, 57.21, 31
2.216, 40.71, 30
2.176, 41.49, 29
1.752, 52.23, 28

Structure:
a b c (Å): 4.432 4.352 11.375
angles (deg): 90.00 90.00 90.00
Element x y z (fractional)
Sr (0.000, 0.000, 0.000)
Sr (0.000, 0.500, 0.500)
Ca (0.500, 0.000, 0.284)
Ca (0.500, 0.500, 0.784)
Ga (0.000, 0.000, 0.708)
Ga (0.000, 0.500, 0.208)
Pt (0.500, 0.000, 0.597)
Pt (0.500, 0.500, 0.097)



For PRh, DFT lattice parameters and positions (PBE) gives the computed X-ray diffraction stick pattern in this record (a wavelength of 1.5418 Å).
No peak broadening, texture or thermal motion is included.

Peak list (10 most intense, 2θ from 15° to 90°, in order of falling intensity)
d [Å], two_theta, I_rel
2.257, 39.95, 100
4.434, 20.03, 74
3.251, 27.43, 65
2.903, 30.81, 61
1.693, 54.18, 53
2.790, 32.09, 39
3.840, 23.16, 29
1.832, 49.78, 26
2.622, 34.20, 23
1.794, 50.89, 21

Structure:
a b c (Å): 8.867 8.867 3.589
angles (deg): 90.00 90.00 120.00
Element x y z (fractional)
P (0.074, 0.371, 0.250)
P (0.297, 0.926, 0.250)
P (0.371, 0.297, 0.750)
P (0.629, 0.703, 0.250)
P (0.703, 0.074, 0.750)
P (0.926, 0.629, 0.750)
Rh (0.087, 0.644, 0.250)
Rh (0.356, 0.443, 0.250)
Rh (0.443, 0.087, 0.750)
Rh (0.557, 0.913, 0.250)
Rh (0.644, 0.557, 0.750)
Rh (0.913, 0.356, 0.750)



For BaLi2SbSe4, DFT lattice parameters and positions (PBE) gives the computed X-ray diffraction stick pattern in this record (a wavelength of 1.5418 Å).
No peak broadening, texture or thermal motion is included.

Peak list (10 most intense, 2θ from 15° to 90°, in order of falling intensity)
d [Å], two_theta, I_rel
3.308, 26.95, 100
2.777, 32.23, 98
5.112, 17.35, 86
2.556, 35.11, 55
2.023, 44.81, 51
1.997, 45.41, 30
3.030, 29.48, 28
1.574, 58.66, 21
1.515, 61.18, 21
1.860, 48.96, 16

Structure:
a b c (Å): 7.230 7.230 8.679
angles (deg): 90.00 90.00 90.00
Element x y z (fractional)
Ba (0.000, 0.000, 0.000)
Ba (0.500, 0.500, 0.500)
Li (0.000, 0.500, 0.250)
Li (0.000, 0.500, 0.750)
Li (0.500, 0.000, 0.250)
Li (0.500, 0.000, 0.750)
Sb (0.000, 0.000, 0.500)
Sb (0.500, 0.500, 0.000)
Se (0.209, 0.209, 0.681)
Se (0.209, 0.791, 0.319)
Se (0.291, 0.291, 0.181)
Se (0.291, 0.709, 0.819)
Se (0.709, 0.291, 0.819)
Se (0.709, 0.709, 0.181)
Se (0.791, 0.209, 0.319)
Se (0.791, 0.791, 0.681)



For SrAl2Ag6, DFT lattice parameters and positions (PBE) gives the computed X-ray diffraction stick pattern in this record (a wavelength of 1.5418 Å).
No peak broadening, texture or thermal motion is included.

Peak list (10 most intense, 2θ from 15° to 90°, in order of falling intensity)
d [Å], two_theta, I_rel
2.610, 34.36, 100
2.266, 39.78, 49
2.190, 41.23, 39
1.365, 68.74, 24
1.602, 57.52, 16
1.293, 73.19, 13
1.409, 66.33, 10
1.596, 57.75, 9
2.197, 41.08, 8
2.250, 40.08, 7

Structure:
a b c (Å): 4.532 4.532 8.998
angles (deg): 90.00 90.00 90.00
Element x y z (fractional)
Sr (0.000, 0.000, 0.000)
Al (0.500, 0.500, 0.149)
Al (0.500, 0.500, 0.851)
Ag (0.000, 0.000, 0.500)
Ag (0.000, 0.500, 0.298)
Ag (0.000, 0.500, 0.702)
Ag (0.500, 0.000, 0.298)
Ag (0.500, 0.000, 0.702)
Ag (0.500, 0.500, 0.500)



For Sr2TaPbO6, DFT lattice parameters and positions (PBE) gives the computed X-ray diffraction stick pattern in this record (a wavelength of 1.5418 Å).
No peak broadening, texture or thermal motion is included.

Peak list (10 most intense, 2θ from 15° to 90°, in order of falling intensity)
d [Å], two_theta, I_rel
3.021, 29.57, 100
2.960, 30.20, 99
2.114, 42.77, 51
4.228, 21.01, 46
1.732, 52.86, 44
1.744, 52.47, 26
1.697, 54.02, 19
1.345, 69.93, 18
1.329, 70.92, 18
1.480, 62.79, 15

Structure:
a b c (Å): 5.919 5.920 5.926
angles (deg): 61.34 61.34 61.34
Element x y z (fractional)
Sr (0.241, 0.240, 0.240)
Sr (0.759, 0.760, 0.760)
Ta (0.000, 0.000, 0.000)
Pb (0.500, 0.500, 0.500)
O (0.140, 0.318, 0.786)
O (0.217, 0.860, 0.683)
O (0.317, 0.784, 0.141)
O (0.683, 0.216, 0.859)
O (0.783, 0.140, 0.317)
O (0.860, 0.682, 0.214)



For ZnCu4Ni, DFT lattice parameters and positions (PBE) gives the computed X-ray diffraction stick pattern in this record (a wavelength of 1.5418 Å).
No peak broadening, texture or thermal motion is included.

Peak list (9 most intense, 2θ from 15° to 90°, in order of falling intensity)
d [Å], two_theta, I_rel
2.098, 43.12, 100
1.823, 50.02, 32
1.283, 73.89, 18
1.804, 50.59, 15
1.099, 89.10, 11
1.098, 89.19, 11
1.290, 73.38, 5
1.288, 73.50, 5
1.091, 89.95, 3

Structure:
a b c (Å): 4.439 7.731 4.434
angles (deg): 90.00 108.86 90.00
Element x y z (fractional)
Zn (0.000, 0.000, 0.000)
Zn (0.500, 0.500, 0.000)
Cu (0.000, 0.169, 0.500)
Cu (0.000, 0.335, 0.000)
Cu (0.000, 0.665, 0.000)
Cu (0.000, 0.831, 0.500)
Cu (0.500, 0.165, 0.000)
Cu (0.500, 0.331, 0.500)
Cu (0.500, 0.669, 0.500)
Cu (0.500, 0.835, 0.000)
Ni (0.000, 0.500, 0.500)
Ni (0.500, 0.000, 0.500)



For MgMnZnFe, DFT lattice parameters and positions (PBE) gives the computed X-ray diffraction stick pattern in this record (a wavelength of 1.5418 Å).
No peak broadening, texture or thermal motion is included.

Peak list (10 most intense, 2θ from 15° to 90°, in order of falling intensity)
d [Å], two_theta, I_rel
2.138, 42.27, 100
1.235, 77.28, 29
1.512, 61.31, 15
3.024, 29.54, 7
3.492, 25.51, 6
1.824, 50.02, 3
1.352, 69.51, 2
1.746, 52.41, 2
1.388, 67.51, 1
1.164, 82.96, 1

Structure:
a b c (Å): 6.048 6.048 6.048
angles (deg): 90.00 90.00 90.00
Element x y z (fractional)
Mg (0.000, 0.000, 0.000)
Mg (0.000, 0.500, 0.500)
Mg (0.500, 0.000, 0.500)
Mg (0.500, 0.500, 0.000)
Mn (0.000, 0.000, 0.500)
Mn (0.000, 0.500, 0.000)
Mn (0.500, 0.000, 0.000)
Mn (0.500, 0.500, 0.500)
Zn (0.250, 0.250, 0.750)
Zn (0.250, 0.750, 0.250)
Zn (0.750, 0.250, 0.250)
Zn (0.750, 0.750, 0.750)
Fe (0.250, 0.250, 0.250)
Fe (0.250, 0.750, 0.750)
Fe (0.750, 0.250, 0.750)
Fe (0.750, 0.750, 0.250)



For LiBF5, DFT lattice parameters and positions (PBE) gives the computed X-ray diffraction stick pattern in this record (a wavelength of 1.5418 Å).
No peak broadening, texture or thermal motion is included.

Peak list (10 most intense, 2θ from 15° to 90°, in order of falling intensity)
d [Å], two_theta, I_rel
3.777, 23.55, 100
3.334, 26.74, 59
1.971, 46.06, 48
2.162, 41.77, 33
4.005, 22.20, 30
3.506, 25.41, 24
2.289, 39.36, 18
1.889, 48.18, 18
2.135, 42.33, 17
4.415, 20.11, 16

Structure:
a b c (Å): 11.368 4.879 7.012
angles (deg): 90.00 90.00 90.00
Element x y z (fractional)
Li (0.069, 0.250, 0.203)
Li (0.431, 0.750, 0.703)
Li (0.569, 0.250, 0.297)
Li (0.931, 0.750, 0.797)
B (0.161, 0.750, 0.498)
B (0.339, 0.250, 0.998)
B (0.661, 0.750, 0.002)
B (0.839, 0.250, 0.502)
F (0.000, 0.000, 0.000)
F (0.000, 0.500, 0.000)
F (0.092, 0.750, 0.666)
F (0.134, 0.516, 0.388)
F (0.134, 0.984, 0.388)
F (0.219, 0.250, 0.046)
F (0.281, 0.750, 0.546)
F (0.366, 0.016, 0.888)
F (0.366, 0.484, 0.888)
F (0.408, 0.250, 0.166)
F (0.500, 0.000, 0.500)
F (0.500, 0.500, 0.500)
F (0.592, 0.750, 0.834)
F (0.634, 0.516, 0.112)
F (0.634, 0.984, 0.112)
F (0.719, 0.250, 0.454)
F (0.781, 0.750, 0.954)
F (0.866, 0.016, 0.612)
F (0.866, 0.484, 0.612)
F (0.908, 0.250, 0.334)



For InICl2, DFT lattice parameters and positions (PBE) gives the computed X-ray diffraction stick pattern in this record (a wavelength of 1.5418 Å).
No peak broadening, texture or thermal motion is included.

Peak list (10 most intense, 2θ from 15° to 90°, in order of falling intensity)
d [Å], two_theta, I_rel
3.986, 22.30, 100
3.033, 29.45, 79
5.625, 15.75, 60
3.460, 25.75, 52
2.518, 35.66, 48
2.610, 34.35, 47
2.204, 40.94, 35
3.608, 24.67, 32
1.819, 50.16, 31
2.524, 35.56, 30

Structure:
a b c (Å): 10.137 11.250 7.262
angles (deg): 90.00 128.94 90.00
Element x y z (fractional)
In (0.000, 0.070, 0.000)
In (0.000, 0.930, 0.500)
In (0.500, 0.430, 0.500)
In (0.500, 0.570, 0.000)
I (0.226, 0.088, 0.859)
I (0.226, 0.912, 0.359)
I (0.726, 0.412, 0.359)
I (0.726, 0.588, 0.859)
Cl (0.295, 0.472, 0.613)
Cl (0.295, 0.528, 0.113)
Cl (0.478, 0.222, 0.519)
Cl (0.478, 0.778, 0.019)
Cl (0.795, 0.028, 0.113)
Cl (0.795, 0.972, 0.613)
Cl (0.978, 0.278, 0.019)
Cl (0.978, 0.722, 0.519)



For KGd2CuSe4, DFT lattice parameters and positions (PBE) gives the computed X-ray diffraction stick pattern in this record (a wavelength of 1.5418 Å).
No peak broadening, texture or thermal motion is included.

Peak list (10 most intense, 2θ from 15° to 90°, in order of falling intensity)
d [Å], two_theta, I_rel
2.869, 31.17, 100
2.111, 42.85, 72
3.055, 29.23, 61
2.677, 33.47, 45
3.989, 22.29, 43
2.078, 43.54, 37
3.221, 27.70, 33
2.340, 38.47, 31
3.126, 28.55, 30
2.128, 42.49, 25

Structure:
a b c (Å): 7.412 7.412 14.447
angles (deg): 90.00 90.00 147.43
Element x y z (fractional)
K (0.111, 0.889, 0.750)
K (0.889, 0.111, 0.250)
Gd (0.366, 0.634, 0.564)
Gd (0.366, 0.634, 0.936)
Gd (0.634, 0.366, 0.064)
Gd (0.634, 0.366, 0.436)
Cu (0.160, 0.840, 0.250)
Cu (0.840, 0.160, 0.750)
Se (0.000, 0.000, 0.000)
Se (0.000, 0.000, 0.500)
Se (0.264, 0.736, 0.113)
Se (0.264, 0.736, 0.387)
Se (0.434, 0.566, 0.750)
Se (0.566, 0.434, 0.250)
Se (0.736, 0.264, 0.613)
Se (0.736, 0.264, 0.887)



For DyGaTc, DFT lattice parameters and positions (PBE) gives the computed X-ray diffraction stick pattern in this record (a wavelength of 1.5418 Å).
No peak broadening, texture or thermal motion is included.

Peak list (10 most intense, 2θ from 15° to 90°, in order of falling intensity)
d [Å], two_theta, I_rel
2.293, 39.30, 100
2.353, 38.25, 96
2.691, 33.30, 93
2.284, 39.46, 64
1.345, 69.92, 45
2.174, 41.54, 38
2.799, 31.98, 36
2.265, 39.80, 30
1.498, 61.94, 26
2.243, 40.20, 26

Structure:
a b c (Å): 5.335 5.597 7.504
angles (deg): 90.00 90.00 90.00
Element x y z (fractional)
Dy (0.000, 0.250, 0.114)
Dy (0.000, 0.750, 0.886)
Dy (0.500, 0.250, 0.386)
Dy (0.500, 0.750, 0.614)
Ga (0.000, 0.000, 0.500)
Ga (0.000, 0.500, 0.500)
Ga (0.500, 0.000, 0.000)
Ga (0.500, 0.500, 0.000)
Tc (0.250, 0.250, 0.750)
Tc (0.250, 0.750, 0.250)
Tc (0.750, 0.250, 0.750)
Tc (0.750, 0.750, 0.250)